Calculated powder X-ray diffraction pattern of Ac4TlCd2In for Cu Kα X-rays, from a crystal structure in Alexandria, relaxed with PBE.
Neutral-atom scattering factors, no anomalous dispersion.

Cell and atoms:
Cell lengths 5.7981, 5.7981, 28.4144 Å; angles 90.00, 90.00, 120.00 degrees
Space group R-3m (No. 166, hexagonal axes)
Asymmetric unit:
Ac (0.0000, 0.0000, 0.1246) x6
Ac (0.0000, 0.0000, 0.3746) x6
Tl (0.0000, 0.0000, 0.5000) x3
Cd (0.0000, 0.0000, 0.2505) x6
In (0.0000, 0.0000, 0.0000) x3

Top 10 peaks for 10 to 80 degrees two-theta, in order of rising 2θ:
| h k l | 2θ (°) | d_spacing | I/Imax |
| --- | --- | --- | --- |
| 1 0 4 | 21.67 | 4.100 | 6 |
| 1 1 0 | 30.84 | 2.899 | 100 |
| 0 2 4 | 38.01 | 2.367 | 2 |
| 2 0 8 | 44.18 | 2.050 | 19 |
| 2 1 4 | 49.72 | 1.834 | 3 |
| 3 0 0 | 54.84 | 1.674 | 40 |
| 2 2 0 | 64.25 | 1.450 | 12 |
| 3 0 12 | 68.67 | 1.367 | 2 |
| 3 1 8 | 72.96 | 1.297 | 17 |
| 4 0 4 | 77.16 | 1.236 | 1 |